Diffraction record for Ag5SbSe6. The XRD peak list is theoretical, not measured: it uses a PBE-relaxed structure and Cu Kα (λ = 1.5418 Å).

Main lines, by angle (10° ≤ 2θ ≤ 80°):
| 2θ/deg | I/Imax |
| --- | --- |
| 31.23 | 52 |
| 32.12 | 100 |
| 45.30 | 35 |
| 45.52 | 34 |
| 46.00 | 17 |
| 46.12 | 17 |
| 56.78 | 26 |
| 67.18 | 10 |

Structure:
Cell lengths 6.8583, 6.8583, 6.9337 Å; angles 100.44, 100.44, 118.85 degrees
Sites, in units of the cell vectors:
Ag  0.0000  0.0000  0.0000
Ag  0.1727  0.8273  0.5000
Ag  0.3444  0.6556  0.0000
Ag  0.6556  0.3444  0.0000
Ag  0.8273  0.1727  0.5000
Sb  0.5000  0.5000  0.5000
Se  0.1055  0.4379  0.2326
Se  0.2286  0.2286  0.7200
Se  0.4379  0.1055  0.2326
Se  0.5621  0.8945  0.7674
Se  0.7714  0.7714  0.2799
Se  0.8945  0.5621  0.7674